Computed XRD peak list
Compound: Rb2NaTa
Radiation: copper Kα
Structure: a cell relaxed with GGA-PBE
No peak broadening, texture or thermal motion is included.

Atomic structure:
abc: 9.060 9.060 9.060
angles: 90.00 90.00 90.00
Space group Fm-3m (No. 225)
Unique sites:
Rb 0.250 0.250 0.250
Na 0.000 0.000 0.000
Ta 0.000 0.000 0.500

Principal peaks in the range 5° ≤ 2θ ≤ 70°, by intensity:
- 3.203 Å, I = 100, (2 2 0)
- 1.849 Å, I = 41, (4 2 2)
- 5.231 Å, I = 35, (1 1 1)
- 2.732 Å, I = 22, (3 1 1)
- 2.265 Å, I = 19, (4 0 0)
- 1.433 Å, I = 18, (6 2 0)
- 1.602 Å, I = 13, (4 4 0)
- 2.079 Å, I = 10, (3 3 1)
- 1.744 Å, I = 8, (5 1 1)
- 1.531 Å, I = 8, (5 3 1)
- 1.382 Å, I = 3, (5 3 3)
- 4.530 Å, I = 1, (2 0 0)